1.
Starting from DFT lattice parameters and positions (GGA-PBE), the powder diffractogram of PmFe2AsN was computed for Cu Kα.
Lines closer than 0.1° are merged.

Main lines, sorted by position (2θ from 5° to 70°):
34.62°, rel. 34; 35.93°, rel. 48; 36.29°, rel. 100; 37.06°, rel. 75; 42.70°, rel. 35; 48.41°, rel. 30; 53.21°, rel. 23; 61.74°, rel. 20

Cell and atoms:
Unit cell a=5.682 b=5.682 c=6.911 alpha=90.00 beta=90.00 gamma=141.35
Positions (direct):
Pm 0.048 0.952 0.750
Pm 0.952 0.048 0.250
Fe 0.340 0.660 0.553
Fe 0.340 0.660 0.947
Fe 0.660 0.340 0.053
Fe 0.660 0.340 0.447
As 0.229 0.771 0.250
As 0.771 0.229 0.750
N 0.500 0.500 0.000
N 0.500 0.500 0.500

***

2.
Starting from DFT lattice parameters and positions (GGA-PBE), the powder diffractogram of PuFe2AsN was computed for Cu Kα.
Lines closer than 0.1° are merged.

Main lines, sorted by position (2θ from 5° to 70°):
25.57°, rel. 36; 26.10°, rel. 29; 35.00°, rel. 37; 36.04°, rel. 47; 36.86°, rel. 100; 37.47°, rel. 66; 49.47°, rel. 24; 67.74°, rel. 25

Cell and atoms:
Unit cell a=5.661 b=5.661 c=6.827 alpha=90.00 beta=90.00 gamma=142.02
Positions (direct):
Pu 0.043 0.957 0.750
Pu 0.957 0.043 0.250
Fe 0.336 0.664 0.555
Fe 0.336 0.664 0.945
Fe 0.664 0.336 0.055
Fe 0.664 0.336 0.445
As 0.231 0.769 0.250
As 0.769 0.231 0.750
N 0.500 0.500 0.000
N 0.500 0.500 0.500